1.
For AcHoIn2Hg2, a crystal structure in Alexandria, relaxed with PBE gives the simulated X-ray diffraction stick pattern in this record (copper Kα).
No peak broadening, texture or thermal motion is included.

Most intense lines, 5 to 70 degrees two-theta, sorted by position:
h k l	2theta	d/Å	I/Imax
1 0 1	23.64	3.764	142
0 1 2	30.87	2.897	1000
1 1 0	36.29	2.475	743
2 0 2	48.37	1.882	292
1 2 2	61.94	1.498	280
3 0 0	65.29	1.429	135

Atomic structure:
```
AcHoIn2Hg2
1.0
4.9505 0.0000 0.0000
-2.4753 4.2873 0.0000
0.0000 0.0000 7.8597
Ac Ho In Hg
1 1 2 2
Cartesian
0.0000 0.0000 0.0000
0.0000 0.0000 3.9298
0.0000 2.8582 2.0723
2.4753 1.4291 5.7874
0.0000 2.8582 5.4154
2.4753 1.4291 2.4443
```

2.
For AcIn5Hg6, a crystal structure in Alexandria, relaxed with PBE gives the simulated X-ray diffraction stick pattern in this record (copper Kα).
No peak broadening, texture or thermal motion is included.

Most intense lines, 5 to 70 degrees two-theta, sorted by position:
h k l	2theta	d/Å	I/Imax
1 2 2	32.58	2.748	1000
1 2 -2	32.66	2.742	332
2 1 0	36.91	2.435	245
0 3 0	37.52	2.397	226
0 0 4	39.01	2.309	199
0 3 -4	55.24	1.663	140

Atomic structure:
```
AcIn5Hg6
1.0
4.8706 0.0000 0.0000
2.4099 7.1911 0.0000
0.0168 -0.0038 9.2354
Ac In Hg
1 5 6
Cartesian
0.0000 0.0000 0.0000
0.0084 -0.0019 4.6177
2.4209 2.6013 0.0128
2.4383 2.3999 4.6116
4.8591 4.7874 4.6237
4.8765 4.5859 9.2225
2.4186 4.7510 2.4197
2.4336 4.7423 6.8173
2.4517 0.0047 6.8094
4.8457 7.1825 2.4260
4.8638 2.4449 2.4181
4.8788 2.4363 6.8156
```

3.
For Ac3In2Hg7, a crystal structure in Alexandria, relaxed with PBE gives the simulated X-ray diffraction stick pattern in this record (copper Kα).
No peak broadening, texture or thermal motion is included.

Most intense lines, 5 to 70 degrees two-theta, sorted by position:
h k l	2theta	d/Å	I/Imax
1 1 2	29.93	2.985	1000
0 1 4	30.48	2.932	135
1 1 -4	33.47	2.678	356
2 0 -1	36.02	2.494	341
0 2 0	37.60	2.392	357
2 2 -1	53.04	1.727	228

Atomic structure:
```
Ac3In2Hg7
1.0
4.9872 0.0000 0.0000
0.0000 4.7859 0.0000
-2.4410 0.0000 14.8423
Ac In Hg
3 2 7
Cartesian
0.0000 0.0000 0.0000
0.0253 2.3929 9.5380
2.5209 2.3929 5.3042
0.0098 0.0000 3.9989
2.5364 0.0000 10.8434
0.0218 2.3929 2.3468
0.0274 0.0000 6.7815
0.0429 0.0000 12.4737
2.4936 2.3929 0.0000
2.5033 0.0000 2.3686
2.5188 0.0000 8.0608
2.5244 2.3929 12.4954
```

4.
For Ac3In6Hg5, a crystal structure in Alexandria, relaxed with PBE gives the simulated X-ray diffraction stick pattern in this record (copper Kα).
No peak broadening, texture or thermal motion is included.

Most intense lines, 5 to 70 degrees two-theta, sorted by position:
h k l	2theta	d/Å	I/Imax
1 0 3	30.17	2.962	221
1 3 2	30.60	2.922	1000
1 2 3	32.68	2.740	197
2 0 0	36.81	2.442	351
0 6 0	37.38	2.406	252
2 6 0	53.47	1.714	181

Atomic structure:
```
Ac3In6Hg5
1.0
4.8834 0.0000 0.0000
0.0000 14.4334 0.0000
0.0000 0.0000 11.1763
Ac In Hg
6 12 10
Cartesian
1.2209 0.8926 2.7511
1.2209 6.3240 2.7511
1.2209 10.8250 2.7809
3.6626 3.6083 8.3953
3.6626 8.1093 8.4251
3.6626 13.5407 8.4251
1.2209 1.3394 9.8362
1.2209 3.6083 0.5921
1.2209 3.6083 5.0309
1.2209 5.8773 9.8362
1.2209 8.6778 5.8548
1.2209 12.9722 5.8548
3.6626 1.4611 5.3215
3.6626 5.7556 5.3215
3.6626 8.5560 1.3401
3.6626 10.8250 6.1453
3.6626 10.8250 10.5841
3.6626 13.0940 1.3401
1.2209 1.3353 6.9853
1.2209 5.8813 6.9853
1.2209 8.6809 10.8816
1.2209 10.8250 8.3770
1.2209 12.9692 10.8816
3.6626 1.4642 0.2947
3.6626 3.6083 2.7993
3.6626 5.7525 0.2947
3.6626 8.5520 4.1910
3.6626 13.0980 4.1910
```

What did the second record say?
For AcIn5Hg6, a crystal structure in Alexandria, relaxed with PBE gives the simulated X-ray diffraction stick pattern in this record (copper Kα).
No peak broadening, texture or thermal motion is included.

Most intense lines, 5 to 70 degrees two-theta, sorted by position:
h k l	2theta	d/Å	I/Imax
1 2 2	32.58	2.748	1000
1 2 -2	32.66	2.742	332
2 1 0	36.91	2.435	245
0 3 0	37.52	2.397	226
0 0 4	39.01	2.309	199
0 3 -4	55.24	1.663	140

Atomic structure:
```
AcIn5Hg6
1.0
4.8706 0.0000 0.0000
2.4099 7.1911 0.0000
0.0168 -0.0038 9.2354
Ac In Hg
1 5 6
Cartesian
0.0000 0.0000 0.0000
0.0084 -0.0019 4.6177
2.4209 2.6013 0.0128
2.4383 2.3999 4.6116
4.8591 4.7874 4.6237
4.8765 4.5859 9.2225
2.4186 4.7510 2.4197
2.4336 4.7423 6.8173
2.4517 0.0047 6.8094
4.8457 7.1825 2.4260
4.8638 2.4449 2.4181
4.8788 2.4363 6.8156
```